Structure and computed PXRD pattern of NaPrTiNbO6F (a cell relaxed with GGA-PBE; Cu Kα (λ = 1.5418 Å)).
No peak broadening, texture or thermal motion is included.

Cell and atoms:
```
NaPrTiNbO6F
1.0
-3.624 3.804 5.179
3.624 -3.804 5.179
3.624 3.804 -5.179
Na Pr Ti Nb O F
2 2 2 2 12 2
Cartesian
-1.812 1.902 2.590
1.812 1.902 2.590
0.000 0.000 0.000
0.000 3.804 0.000
1.812 1.902 -2.590
1.812 -1.902 2.590
3.624 0.000 0.000
0.000 0.000 5.179
2.142 -0.462 1.273
5.106 -0.462 1.273
3.624 -1.902 3.393
2.142 3.342 -1.273
1.482 -0.462 3.906
3.624 1.902 0.691
0.000 1.902 4.488
2.142 4.266 1.273
1.482 0.462 6.452
0.000 5.706 1.786
-1.482 4.266 3.906
1.482 4.266 3.906
0.000 1.902 1.343
3.624 1.902 3.836
```

Principal peaks in the range 10° ≤ 2θ ≤ 90°, in order of falling intensity:
Position (°2θ), I (rel.)
29.13, 1000
30.10, 908
49.45, 634
17.12, 519
59.25, 386
34.17, 312
57.55, 278
38.46, 263
23.38, 229
24.56, 206

=====

Structure and computed PXRD pattern of NaPrTiNbO6F (a cell relaxed with GGA-PBE; Cu Kα (λ = 1.5418 Å)).
No peak broadening, texture or thermal motion is included.

Cell and atoms:
```
NaPrTiNbO6F
1.0
7.395 0.000 0.000
0.000 7.395 0.000
0.000 0.000 10.499
Na Pr Ti Nb O F
4 4 4 4 24 4
Cartesian
0.000 1.596 0.000
0.000 5.799 5.249
1.596 0.000 7.874
5.799 0.000 2.625
1.670 3.698 7.874
3.698 1.670 0.000
3.698 5.725 5.249
5.725 3.698 2.625
1.958 3.698 2.625
3.698 1.958 5.249
3.698 5.438 0.000
5.438 3.698 7.874
0.000 1.908 5.249
0.000 5.487 0.000
1.908 0.000 2.625
5.487 0.000 7.874
0.432 3.299 3.859
0.432 4.097 1.390
0.460 0.460 3.937
0.460 6.936 1.312
1.859 2.014 5.996
1.859 5.381 9.752
2.014 1.859 1.878
2.014 5.536 3.371
3.299 0.432 4.015
3.299 6.963 1.235
3.390 3.390 3.937
3.390 4.006 1.312
4.006 3.390 6.562
4.006 4.006 9.186
4.097 0.432 6.484
4.097 6.963 9.264
5.381 1.859 8.621
5.381 5.536 7.127
5.536 2.014 4.503
5.536 5.381 0.747
6.936 0.460 6.562
6.936 6.936 9.186
6.963 3.299 6.639
6.963 4.097 9.109
1.767 1.767 9.186
1.767 5.629 6.562
5.629 1.767 1.312
5.629 5.629 3.937
```

Principal peaks in the range 10° ≤ 2θ ≤ 90°, in order of falling intensity:
Position (°2θ), I (rel.)
29.55, 1000
18.96, 431
49.19, 327
58.52, 242
34.30, 155
49.29, 152
58.34, 139
39.48, 125
30.74, 119
79.80, 94